For Sr4PtN4, a structure optimized by DFT (PBE) gives the calculated X-ray diffraction stick pattern in this record (Cu Kα, 1.54184 Å).
Kinematic intensities with the Lorentz-polarization factor, no thermal factor.

Principal peaks in the range 2θ from 15° to 90°, low angle first:
- (1 0 0), 15.4 deg, d 5.748, rel. 29
- (0 2 0), 29.0 deg, d 3.078, rel. 100
- (2 0 1), 29.2 deg, d 3.056, rel. 46
- (1 0 -2), 30.1 deg, d 2.967, rel. 34
- (1 1 -2), 30.8 deg, d 2.902, rel. 32
- (1 1 3), 32.6 deg, d 2.743, rel. 67
- (1 -1 3), 34.2 deg, d 2.624, rel. 68
- (2 2 1), 35.6 deg, d 2.518, rel. 31
- (-1 1 2), 36.0 deg, d 2.492, rel. 48
- (1 2 -2), 37.8 deg, d 2.379, rel. 26

```
Sr4PtN4
1.0
6.327 0.000 0.000
1.652 6.180 0.000
3.025 -0.669 8.505
Sr Pt N
8 2 8
direct
0.028 0.244 0.405 Sr
0.156 0.202 0.013 Sr
0.283 0.702 0.150 Sr
0.400 0.279 0.623 Sr
0.600 0.721 0.377 Sr
0.717 0.298 0.850 Sr
0.844 0.798 0.987 Sr
0.972 0.756 0.595 Sr
0.405 0.771 0.762 Pt
0.595 0.229 0.238 Pt
0.114 0.014 0.771 N
0.266 0.530 0.875 N
0.292 0.487 0.384 N
0.414 0.017 0.222 N
0.586 0.983 0.778 N
0.708 0.513 0.616 N
0.734 0.470 0.125 N
0.886 0.986 0.229 N
```